[1]
For ThGa5Ni7, a crystal structure in Alexandria, relaxed with PBE gives the computed XRD peak list in this record (Cu Kα (weighted mean of Kα1 and Kα2)).
No peak broadening, texture or thermal motion is included.

Structural model:
Cell lengths 5.0974, 8.6666, 8.2263 Å; angles 90.00, 90.00, 90.00 degrees
Space group Imm2 (No. 44)
Unique sites:
Th 0.0000 0.0000 0.0000 x2
Ga 0.0000 0.5000 0.2676 x2
Ga 0.2460 0.2612 0.7438 x8
Ni 0.0000 0.0000 0.3490 x2
Ni 0.0000 0.0000 0.6545 x2
Ni 0.0000 0.2762 0.4900 x4
Ni 0.0000 0.3511 0.9971 x4
Ni 0.0000 0.5000 0.7188 x2

Largest 12 diffraction maxima, sorted by position, 15 to 90 degrees two-theta:
2θ (°)	Rel. int.	hkl
29.1	36	1 2 1
29.8	34	1 1 2
35.2	26	2 0 0
35.7	38	1 3 0
37.2	36	1 0 3
41.1	61	2 2 0
41.7	100	0 4 0
42.1	72	1 3 2
42.9	68	1 2 3
44.0	40	0 0 4
46.9	36	2 2 2
68.5	24	3 2 3



[2]
For La3Y3CuS8, a crystal structure in Alexandria, relaxed with PBE gives the computed XRD peak list in this record (Cu Kα (weighted mean of Kα1 and Kα2)).
No peak broadening, texture or thermal motion is included.

Structural model:
Cell lengths 13.7768, 7.9395, 8.0064 Å; angles 90.00, 125.06, 90.00 degrees
Space group C2/m (No. 12)
Unique sites:
La 0.0000 0.0000 0.0000 x2
La 0.2500 0.2500 0.0000 x4
Y 0.0000 0.5000 0.5000 x2
Y 0.2500 0.2500 0.5000 x4
Cu 0.0000 0.0000 0.5000 x2
S 0.0056 0.2465 0.2702 x8
S 0.2423 0.0000 0.7311 x4
S 0.2440 0.5000 0.7321 x4

Largest 12 diffraction maxima, sorted by position, 15 to 90 degrees two-theta:
2θ (°)	Rel. int.	hkl
15.7	14	2 0 0
27.2	11	0 0 2
27.5	32	2 2 0
31.7	100	4 0 0
45.3	35	2 2 2
45.7	35	0 4 0
54.0	11	0 4 2
56.7	12	4 4 0
66.3	11	8 0 0
75.2	14	6 2 2
75.6	10	10 2 -2
84.3	7	8 4 0



[3]
For Pm5Bi2O12, a crystal structure in Alexandria, relaxed with PBE gives the computed XRD peak list in this record (Cu Kα (weighted mean of Kα1 and Kα2)).
No peak broadening, texture or thermal motion is included.

Structural model:
Cell lengths 12.9777, 6.3193, 7.7187 Å; angles 90.00, 107.49, 90.00 degrees
Space group C2/m (No. 12)
Unique sites:
Pm 0.0000 0.0000 0.0000 x2
Pm 0.1953 0.5000 0.3257 x4
Pm 0.2033 0.5000 0.8659 x4
Bi 0.0000 0.2458 0.5000 x4
O 0.0007 0.0000 0.3037 x4
O 0.0015 0.5000 0.3019 x4
O 0.1543 0.2493 0.0731 x8
O 0.1725 0.2726 0.5900 x8

Largest 12 diffraction maxima, sorted by position, 15 to 90 degrees two-theta:
2θ (°)	Rel. int.	hkl
24.2	40	2 0 -2
25.8	91	3 1 0
27.1	100	1 1 -2
28.9	43	4 0 0
30.8	73	0 2 1
31.7	44	4 0 -2
31.8	92	2 0 2
32.5	32	2 2 -1
37.5	54	0 2 2
47.1	32	2 0 -4
49.2	41	4 2 -3
52.7	41	4 2 2



[4]
For La2Pr2Pb, a crystal structure in Alexandria, relaxed with PBE gives the computed XRD peak list in this record (Cu Kα (weighted mean of Kα1 and Kα2)).
No peak broadening, texture or thermal motion is included.

Structural model:
Cell lengths 9.9319, 5.7616, 6.9864 Å; angles 90.00, 117.96, 90.00 degrees
Space group C2/m (No. 12)
Unique sites:
La 0.1029 0.0000 0.3102 x4
Pr 0.1770 0.5000 0.0309 x4
Pb 0.0000 0.5000 0.5000 x2

Largest 12 diffraction maxima, sorted by position, 15 to 90 degrees two-theta:
2θ (°)	Rel. int.	hkl
30.1	100	2 0 1
31.0	38	0 2 0
31.2	74	3 1 -1
42.9	8	0 2 2
43.7	24	2 2 1
44.0	14	4 0 -3
52.7	8	1 1 3
54.7	25	5 1 0
54.8	16	4 2 -3
55.3	15	3 3 -1
65.0	9	6 2 -2
73.0	11	5 3 0



[5]
For Li2Cd5In12, a crystal structure in Alexandria, relaxed with PBE gives the computed XRD peak list in this record (Cu Kα (weighted mean of Kα1 and Kα2)).
No peak broadening, texture or thermal motion is included.

Structural model:
Cell lengths 16.1363, 11.0885, 5.7278 Å; angles 90.00, 110.53, 90.00 degrees
Space group C2/m (No. 12)
Unique sites:
Li 0.0000 0.2476 0.0000 x4
Cd 0.0000 0.5000 0.5000 x2
Cd 0.1903 0.0000 0.5536 x4
Cd 0.2024 0.5000 0.7887 x4
In 0.0811 0.0000 0.9093 x4
In 0.1004 0.2400 0.5982 x8
In 0.1040 0.5000 0.1513 x4
In 0.1923 0.2404 0.1912 x8

Largest 12 diffraction maxima, sorted by position, 15 to 90 degrees two-theta:
2θ (°)	Rel. int.	hkl
28.5	17	2 2 1
29.4	34	3 1 1
31.2	29	2 0 -2
32.3	70	0 4 0
32.9	34	3 1 -2
35.3	14	2 2 -2
37.3	59	4 2 1
37.4	100	6 2 -1
40.3	27	3 3 -2
45.5	19	2 4 -2
60.9	14	4 6 1
61.0	19	6 6 -1



[6]
For Mg2TaAl2, a crystal structure in Alexandria, relaxed with PBE gives the computed XRD peak list in this record (Cu Kα (weighted mean of Kα1 and Kα2)).
No peak broadening, texture or thermal motion is included.

Structural model:
Cell lengths 7.5944, 7.5944, 3.1496 Å; angles 90.00, 90.00, 90.00 degrees
Space group P4/mbm (No. 127)
Unique sites:
Mg 0.1707 0.3293 0.0000 x4
Ta 0.0000 0.0000 0.5000 x2
Al 0.1291 0.6291 0.5000 x4

Largest 12 diffraction maxima, sorted by position, 15 to 90 degrees two-theta:
2θ (°)	Rel. int.	hkl
16.5	100	1 1 0
23.4	50	2 0 0
28.3	24	0 0 1
33.0	53	1 1 1
33.4	36	2 2 0
37.1	59	2 0 1
37.4	75	3 1 0
44.3	23	2 2 1
47.6	47	3 1 1
62.1	19	4 2 1
69.9	21	5 1 1
71.7	22	3 1 2



[7]
For CaAl4Tl4O12, a crystal structure in Alexandria, relaxed with PBE gives the computed XRD peak list in this record (Cu Kα (weighted mean of Kα1 and Kα2)).
No peak broadening, texture or thermal motion is included.

Structural model:
Cell lengths 5.2600, 6.4562, 8.7269 Å; angles 90.00, 104.80, 90.00 degrees
Space group Pm (No. 6)
Unique sites:
Ca 0.0000 0.0000 0.0000 x1
Al 0.4245 0.2535 0.7891 x2
Al 0.6086 0.2522 0.1825 x2
Tl 0.2392 0.0000 0.3871 x1
Tl 0.2702 0.5000 0.3911 x1
Tl 0.8615 0.0000 0.5837 x1
Tl 0.9917 0.5000 0.9524 x1
O 0.1093 0.2336 0.8262 x2
O 0.4219 0.5000 0.1464 x1
O 0.4322 0.5000 0.6880 x1
O 0.4474 0.0000 0.1390 x1
O 0.4851 0.0000 0.7044 x1
O 0.5500 0.2414 0.3971 x2
O 0.6742 0.2633 0.9712 x2
O 0.9707 0.2564 0.2555 x2

Largest 12 diffraction maxima, sorted by position, 15 to 90 degrees two-theta:
2θ (°)	Rel. int.	hkl
17.3	100	0 1 1
17.9	63	1 0 -1
21.1	54	0 0 2
22.6	64	1 0 1
26.5	58	1 1 1
27.6	71	0 2 0
30.8	86	1 0 2
32.2	95	1 0 -3
33.1	62	1 2 -1
34.1	65	2 0 -1
41.9	63	1 2 2
42.9	72	1 2 -3



[8]
For NaAs3H2O9, a crystal structure in Alexandria, relaxed with PBE gives the computed XRD peak list in this record (Cu Kα (weighted mean of Kα1 and Kα2)).
No peak broadening, texture or thermal motion is included.

Structural model:
Cell lengths 7.3483, 7.7265, 8.0571 Å; angles 110.59, 107.31, 106.13 degrees
Space group P-1 (No. 2)
Unique sites:
Na 0.1799 0.1805 0.4541 x2
As 0.1344 0.6551 0.3310 x2
As 0.3147 0.1671 0.0476 x2
As 0.3464 0.5645 0.0224 x2
H 0.1369 0.8115 0.8896 x2
H 0.3800 0.6449 0.5778 x2
O 0.1043 0.5592 0.8531 x2
O 0.1053 0.8611 0.4510 x2
O 0.1092 0.9252 0.8734 x2
O 0.1815 0.3138 0.9976 x2
O 0.2265 0.5415 0.4692 x2
O 0.3170 0.7207 0.2379 x2
O 0.3961 0.2046 0.2797 x2
O 0.4100 0.4328 0.8187 x2
O 0.4920 0.8177 0.0403 x2

Largest 12 diffraction maxima, sorted by position, 15 to 90 degrees two-theta:
2θ (°)	Rel. int.	hkl
19.6	35	1 1 -1
19.9	31	-1 1 1
23.0	100	1 0 1
23.7	22	1 0 -2
24.0	50	0 2 -1
24.7	81	1 -2 0
26.3	28	0 0 2
28.9	76	2 0 -2
30.0	22	1 -1 2
31.0	22	1 2 -2
32.3	33	2 -2 1
35.9	23	1 2 0